Diffraction record for HfZr2Pd2. The powder XRD pattern is simulated, not measured: it uses the PBE geometry in Alexandria and Cu Kα, 1.54184 Å.

Structure:
Cell lengths 6.008, 4.746, 13.685 Å; angles 90.00, 90.00, 90.00 degrees
Positions (direct):
Hf  0.167  0.250  0.043
Hf  0.333  0.750  0.543
Hf  0.667  0.250  0.457
Hf  0.833  0.750  0.957
Zr  0.040  0.750  0.347
Zr  0.150  0.750  0.770
Zr  0.350  0.250  0.270
Zr  0.460  0.250  0.847
Zr  0.540  0.750  0.153
Zr  0.650  0.750  0.730
Zr  0.850  0.250  0.230
Zr  0.960  0.250  0.653
Pd  0.080  0.750  0.139
Pd  0.130  0.250  0.458
Pd  0.370  0.750  0.958
Pd  0.420  0.250  0.639
Pd  0.580  0.750  0.361
Pd  0.630  0.250  0.042
Pd  0.870  0.750  0.542
Pd  0.920  0.250  0.861

Most intense lines, 2θ from 10° to 90°, in order of rising 2θ:
| 2theta | d/Å | intensity | (hkl) |
| --- | --- | --- | --- |
| 12.94 | 6.843 | 15 | 0 0 2 |
| 31.00 | 2.885 | 7 | 1 1 3 |
| 35.79 | 2.509 | 27 | 2 0 3 |
| 35.98 | 2.496 | 14 | 2 1 1 |
| 37.80 | 2.380 | 50 | 2 1 2 |
| 37.93 | 2.372 | 100 | 0 2 0 |
| 44.44 | 2.039 | 8 | 2 1 4 |
| 53.12 | 1.724 | 17 | 2 2 3 |
| 68.46 | 1.371 | 20 | 0 3 5 |
| 81.08 | 1.186 | 9 | 0 4 0 |